This entry pairs a crystal structure of PmV2O8 with its simulated PXRD pattern. Radiation: copper Kα. Structure: a PBE+U-relaxed structure.
Intensities are scaled so that the largest is 100.

Most intense lines, 2θ = 10–90°, by angle:
- d = 4.347 Å, I 98
- d = 2.981 Å, I 39
- d = 2.878 Å, I 100
- d = 2.077 Å, I 14
- d = 2.064 Å, I 27
- d = 1.843 Å, I 19
- d = 1.822 Å, I 49
- d = 1.668 Å, I 19
- d = 1.658 Å, I 19
- d = 1.437 Å, I 22

Cell lengths 6.6740, 6.6740, 6.6740 Å; angles 138.86, 138.86, 59.59 degrees
Positions (direct):
Pm  0.0000  0.0000  0.0000
V  0.2500  0.7500  0.5000
V  0.7500  0.2500  0.5000
O  0.1022  0.1022  0.5031
O  0.1022  0.5990  0.0000
O  0.4010  0.4010  0.5031
O  0.4010  0.8978  0.0000
O  0.5990  0.1022  0.0000
O  0.5990  0.5990  0.4969
O  0.8978  0.4010  0.0000
O  0.8978  0.8978  0.4969



This entry pairs a crystal structure of PmV3O9 with its simulated PXRD pattern. Radiation: copper Kα. Structure: a PBE+U-relaxed structure.
Intensities are scaled so that the largest is 100.

Most intense lines, 2θ = 10–90°, by angle:
- d = 7.224 Å, I 32
- d = 6.019 Å, I 50
- d = 3.873 Å, I 100
- d = 3.667 Å, I 82
- d = 3.274 Å, I 57
- d = 2.732 Å, I 41
- d = 2.663 Å, I 32
- d = 2.100 Å, I 25
- d = 1.935 Å, I 33
- d = 1.827 Å, I 22

Cell lengths 7.5246, 7.5246, 7.7454 Å; angles 90.00, 90.00, 106.25 degrees
Positions (direct):
Pm  0.1057  0.1057  0.0000
Pm  0.8943  0.8943  0.5000
V  0.2523  0.2523  0.5000
V  0.2932  0.6524  0.9686
V  0.3476  0.7068  0.5314
V  0.6524  0.2932  0.0314
V  0.7068  0.3476  0.4686
V  0.7477  0.7477  0.0000
O  0.1205  0.1581  0.6751
O  0.1581  0.1205  0.3249
O  0.1713  0.8074  0.9874
O  0.1805  0.4352  0.0327
O  0.1926  0.8287  0.5126
O  0.2582  0.4812  0.4325
O  0.3611  0.6389  0.7500
O  0.4352  0.1805  0.9673
O  0.4812  0.2582  0.5674
O  0.5188  0.7418  0.0674
O  0.5648  0.8195  0.4673
O  0.6389  0.3611  0.2500
O  0.7418  0.5188  0.9326
O  0.8074  0.1713  0.0126
O  0.8195  0.5648  0.5327
O  0.8287  0.1926  0.4874
O  0.8419  0.8795  0.8249
O  0.8795  0.8419  0.1751



This entry pairs a crystal structure of Pm2VO with its simulated PXRD pattern. Radiation: copper Kα. Structure: a PBE+U-relaxed structure.
Intensities are scaled so that the largest is 100.

Most intense lines, 2θ = 10–90°, by angle:
- d = 3.019 Å, I 56
- d = 2.978 Å, I 100
- d = 2.741 Å, I 56
- d = 2.623 Å, I 59
- d = 2.246 Å, I 68
- d = 2.012 Å, I 33
- d = 1.729 Å, I 39
- d = 1.714 Å, I 20
- d = 1.501 Å, I 41
- d = 1.137 Å, I 18

Cell lengths 9.2734, 9.2734, 9.2734 Å; angles 21.50, 21.50, 21.50 degrees
Positions (direct):
Pm  0.1135  0.1135  0.1135
Pm  0.8865  0.8865  0.8865
V  0.0000  0.0000  0.0000
O  0.5000  0.5000  0.5000



This entry pairs a crystal structure of Pm2V2O7 with its simulated PXRD pattern. Radiation: copper Kα. Structure: a PBE+U-relaxed structure.
Intensities are scaled so that the largest is 100.

Most intense lines, 2θ = 10–90°, by angle:
- d = 5.197 Å, I 31
- d = 3.063 Å, I 100
- d = 2.840 Å, I 98
- d = 2.598 Å, I 22
- d = 2.528 Å, I 31
- d = 2.273 Å, I 32
- d = 1.896 Å, I 21
- d = 1.812 Å, I 64
- d = 1.576 Å, I 43
- d = 1.484 Å, I 22

Cell lengths 5.0872, 5.0872, 5.1968 Å; angles 90.00, 90.00, 96.39 degrees
Positions (direct):
Pm  0.2452  0.2452  0.0000
Pm  0.7548  0.7548  0.0000
V  0.2733  0.7267  0.5000
V  0.7267  0.2733  0.5000
O  0.0000  0.0000  0.5000
O  0.0000  0.5000  0.2674
O  0.0000  0.5000  0.7326
O  0.5000  0.0000  0.2674
O  0.5000  0.0000  0.7326
O  0.5000  0.5000  0.2791
O  0.5000  0.5000  0.7209



This entry pairs a crystal structure of Pm2VWO8 with its simulated PXRD pattern. Radiation: copper Kα. Structure: a PBE+U-relaxed structure.
Intensities are scaled so that the largest is 100.

Most intense lines, 2θ = 10–90°, by angle:
- d = 6.648 Å, I 23
- d = 4.000 Å, I 33
- d = 3.620 Å, I 100
- d = 3.457 Å, I 74
- d = 2.773 Å, I 74
- d = 2.764 Å, I 75
- d = 2.500 Å, I 39
- d = 1.879 Å, I 67
- d = 1.836 Å, I 21
- d = 1.828 Å, I 22

Cell lengths 5.0056, 5.0056, 6.6483 Å; angles 90.19, 90.19, 92.65 degrees
Positions (direct):
Pm  0.0303  0.0303  0.2479
Pm  0.9697  0.9697  0.7521
V  0.5000  0.5000  0.0000
W  0.5000  0.5000  0.5000
O  0.2213  0.2213  0.5229
O  0.2377  0.2377  0.9788
O  0.3096  0.6590  0.2701
O  0.3410  0.6904  0.7299
O  0.6590  0.3096  0.2701
O  0.6904  0.3410  0.7299
O  0.7623  0.7623  0.0212
O  0.7787  0.7787  0.4771



This entry pairs a crystal structure of Pm4W6O19 with its simulated PXRD pattern. Radiation: copper Kα. Structure: a PBE+U-relaxed structure.
Intensities are scaled so that the largest is 100.

Most intense lines, 2θ = 10–90°, by angle:
- d = 6.408 Å, I 17
- d = 4.531 Å, I 26
- d = 3.700 Å, I 38
- d = 2.866 Å, I 100
- d = 2.422 Å, I 60
- d = 1.850 Å, I 17
- d = 1.777 Å, I 61
- d = 1.655 Å, I 16
- d = 1.510 Å, I 31
- d = 1.336 Å, I 14

Cell lengths 7.8484, 7.8484, 7.8484 Å; angles 109.47, 109.47, 109.47 degrees
Positions (direct):
Pm  0.0000  0.0000  0.6951
Pm  0.0000  0.6951  0.0000
Pm  0.3049  0.3049  0.3049
Pm  0.6951  0.0000  0.0000
W  0.1421  0.6421  0.5000
W  0.3579  0.5000  0.8579
W  0.5000  0.1421  0.6421
W  0.5000  0.8579  0.3579
W  0.6421  0.5000  0.1421
W  0.8579  0.3579  0.5000
O  0.0000  0.0000  0.0000
O  0.0000  0.3184  0.3184
O  0.0000  0.6816  0.6816
O  0.0443  0.3728  0.7574
O  0.2426  0.6154  0.2869
O  0.2869  0.2426  0.6154
O  0.3184  0.0000  0.3184
O  0.3184  0.3184  0.0000
O  0.3285  0.9557  0.7131
O  0.3728  0.7574  0.0443
O  0.3846  0.6272  0.6715
O  0.6154  0.2869  0.2426
O  0.6272  0.6715  0.3846
O  0.6715  0.3846  0.6272
O  0.6816  0.0000  0.6816
O  0.6816  0.6816  0.0000
O  0.7131  0.3285  0.9557
O  0.7574  0.0443  0.3728
O  0.9557  0.7131  0.3285